[1]
Structure and simulated powder X-ray diffraction pattern of Pr3InC (a crystal structure in the Materials Project, relaxed with PBE; Cu Kα, 1.54184 Å).
Kinematic intensities with the Lorentz-polarization factor, no thermal factor.

Largest 10 diffraction maxima, in order of rising 2θ, 2θ = 10–80°:
- 2θ = 15.19°, d 5.831, I 100
- 2θ = 26.47°, d 3.367, I 61
- 2θ = 30.66°, d 2.916, I 94
- 2θ = 34.39°, d 2.608, I 56
- 2θ = 43.92°, d 2.062, I 69
- 2θ = 46.73°, d 1.944, I 29
- 2θ = 52.01°, d 1.758, I 28
- 2θ = 54.51°, d 1.683, I 24
- 2θ = 66.06°, d 1.414, I 17
- 2θ = 72.49°, d 1.304, I 31

Cell and atoms:
Cell: 5.8313 5.8313 5.8313 Å, 90.00 90.00 90.00°
Space group Pm-3m (No. 221)
Symmetry-distinct sites (fractional):
Pr  0.0000  0.0000  0.5000
In  0.0000  0.0000  0.0000
C  0.5000  0.5000  0.5000



[2]
Structure and simulated powder X-ray diffraction pattern of Ba6Sm3AlCu8O20 (a crystal structure in the Materials Project, relaxed with PBE; Cu Kα, 1.54184 Å).
Kinematic intensities with the Lorentz-polarization factor, no thermal factor.

Largest 10 diffraction maxima, in order of rising 2θ, 2θ = 10–80°:
- 2θ = 31.59°, d 2.832, I 92
- 2θ = 32.16°, d 2.784, I 97
- 2θ = 32.31°, d 2.771, I 100
- 2θ = 39.49°, d 2.282, I 32
- 2θ = 45.52°, d 1.993, I 30
- 2θ = 47.16°, d 1.927, I 27
- 2θ = 56.52°, d 1.628, I 27
- 2θ = 56.82°, d 1.620, I 36
- 2θ = 57.88°, d 1.593, I 33
- 2θ = 67.63°, d 1.385, I 17

Cell and atoms:
Cell: 5.5468 8.6748 12.6745 Å, 74.33 77.79 73.28°
Space group P-1 (No. 2)
Symmetry-distinct sites (fractional):
Ba  0.0624  0.0624  0.3128
Ba  0.2616  0.2665  0.6917
Ba  0.3894  0.3943  0.3084
Sm  0.1664  0.1667  0.0008
Sm  0.5000  0.5000  0.0000
Al  0.5000  0.0000  0.5000
Cu  0.0494  0.5473  0.8574
Cu  0.1332  0.6849  0.5000
Cu  0.2878  0.7860  0.1420
Cu  0.3805  0.8806  0.8585
O  0.0422  0.0427  0.8735
O  0.1259  0.6259  0.1226
O  0.1425  0.6066  0.6503
O  0.1913  0.1575  0.5000
O  0.2083  0.7081  0.8773
O  0.2427  0.7067  0.3498
O  0.2912  0.2913  0.1268
O  0.3752  0.3746  0.8752
O  0.4500  0.9500  0.6501
O  0.4598  0.9597  0.1226